No. 1
Theoretical X-ray powder pattern
Compound: CaSiNi3
Radiation: Cu Kα, 1.54184 Å
Structure: a cell relaxed with GGA-PBE
Peak positions follow from Bragg's law for the DFT cell and can differ from measured ones.

Structure:
```
CaSiNi3
1.0
-2.5115 4.2157 3.7754
2.5115 -4.2157 3.7754
2.5115 4.2157 -3.7754
Ca Si Ni
2 2 6
direct
0.3028 0.0528 0.2500 Ca
0.6972 0.9472 0.7500 Ca
0.0000 0.5000 0.5000 Si
0.5000 0.5000 0.0000 Si
0.1054 0.3554 0.7500 Ni
0.2217 0.0000 0.7217 Ni
0.2217 0.5000 0.2217 Ni
0.7783 0.0000 0.2783 Ni
0.7783 0.5000 0.7783 Ni
0.8946 0.6446 0.2500 Ni
```

Main lines, by angle (10 to 90 degrees two-theta):
2theta, I_rel
15.75, 100
23.56, 36
31.48, 81
31.82, 60
41.87, 91
42.91, 57
43.27, 63
45.70, 42
48.60, 56
53.16, 42

---

No. 2
Theoretical X-ray powder pattern
Compound: CaSi4Ni
Radiation: Cu Kα, 1.54184 Å
Structure: a cell relaxed with GGA-PBE
Peak positions follow from Bragg's law for the DFT cell and can differ from measured ones.

Structure:
```
CaSi4Ni
1.0
0.0000 3.6399 3.6399
3.6399 0.0000 3.6399
3.6399 3.6399 0.0000
Ca Si Ni
1 4 1
direct
0.0000 0.0000 0.0000 Ca
0.3765 0.3765 0.3765 Si
0.3765 0.3765 0.8704 Si
0.3765 0.8704 0.3765 Si
0.8704 0.3765 0.3765 Si
0.7500 0.7500 0.7500 Ni
```

Main lines, by angle (10 to 90 degrees two-theta):
2theta, I_rel
21.14, 6
34.86, 52
41.12, 100
43.04, 22
62.50, 17
66.77, 29
73.60, 23
84.10, 7
87.96, 10
89.25, 8

---

No. 3
Theoretical X-ray powder pattern
Compound: Ca2Si7Ni12
Radiation: Cu Kα, 1.54184 Å
Structure: a cell relaxed with GGA-PBE
Peak positions follow from Bragg's law for the DFT cell and can differ from measured ones.

Structure:
```
Ca2Si7Ni12
1.0
9.2707 0.0000 0.0000
-4.6353 8.0287 0.0000
0.0000 0.0000 3.6553
Ca Si Ni
2 7 12
direct
0.0000 0.0000 0.0000 Ca
0.3333 0.6667 0.5000 Ca
0.0613 0.6113 0.0000 Si
0.2648 0.0351 0.5000 Si
0.3887 0.4500 0.0000 Si
0.5500 0.9387 0.0000 Si
0.6667 0.3333 0.0000 Si
0.7703 0.7352 0.5000 Si
0.9649 0.2297 0.5000 Si
0.0409 0.7590 0.5000 Ni
0.1095 0.3882 0.0000 Ni
0.2410 0.2819 0.5000 Ni
0.2786 0.8905 0.0000 Ni
0.3897 0.2045 0.0000 Ni
0.5514 0.1243 0.5000 Ni
0.5729 0.4486 0.5000 Ni
0.6118 0.7214 0.0000 Ni
0.7181 0.9591 0.5000 Ni
0.7955 0.1851 0.0000 Ni
0.8149 0.6103 0.0000 Ni
0.8757 0.4271 0.5000 Ni
```

Main lines, by angle (10 to 90 degrees two-theta):
2theta, I_rel
11.02, 15
19.15, 11
38.56, 100
40.51, 10
41.83, 13
45.17, 12
47.83, 34
49.49, 17
49.90, 23
52.21, 15